The following is a computed powder diffractogram of UNi10B3. It was derived from a structure optimized by DFT (PBE), using CuKα.
Peak positions follow from Bragg's law for the DFT cell and can differ from measured ones.

Structure:
```
data_UNi10B3
_cell_length_a 10.637
_cell_length_b 10.637
_cell_length_c 10.637
_cell_angle_alpha 90.00
_cell_angle_beta 90.00
_cell_angle_gamma 90.00
_symmetry_space_group_name_H-M 'F m -3 m'
_symmetry_Int_Tables_number 225
_symmetry_space_group_name_Hall '-F 4 2 3'
loop_
_atom_site_label
_atom_site_type_symbol
_atom_site_fract_x
_atom_site_fract_y
_atom_site_fract_z
U1 U 0.250 0.250 0.250
Ni1 Ni 0.000 0.170 0.170
Ni2 Ni 0.115 0.115 0.385
B1 B 0.000 0.000 0.265
```

Peak list (10 most intense, 2θ from 10° to 90°, low angle first)
two_theta, Rel. int., hkl
16.67, 54, 2 0 0
23.66, 19, 2 2 0
37.83, 100, 4 2 0
41.59, 62, 4 2 2
44.25, 61, 3 3 3
48.41, 33, 4 4 0
50.78, 27, 5 3 1
57.47, 30, 6 2 2
73.40, 30, 6 4 4
75.90, 34, 6 6 0